# 1
For PmDy10Ho4, a PBE-relaxed structure gives the calculated powder X-ray diffraction pattern in this record (Cu Kα X-rays).

The 10 most intense peaks (2θ from 10° to 90°), low angle first:
| two_theta | d/Å | Rel. int. | hkl |
| --- | --- | --- | --- |
| 27.1 | 3.287 | 73 | 1 0 3 |
| 29.0 | 3.079 | 71 | 3 0 1 |
| 29.2 | 3.056 | 100 | 1 3 0 |
| 33.0 | 2.718 | 92 | 1 2 3 |
| 34.0 | 2.640 | 78 | 1 3 2 |
| 34.5 | 2.597 | 48 | 2 3 1 |
| 39.1 | 2.304 | 24 | 2 0 4 |
| 41.8 | 2.161 | 28 | 4 2 0 |
| 42.5 | 2.127 | 27 | 3 2 3 |
| 45.4 | 1.998 | 36 | 4 2 2 |

Atomic structure:
Unit cell a=9.664 b=9.664 c=10.486 alpha=90.00 beta=90.00 gamma=90.00
Space group I4/m (No. 87)
Symmetry-distinct sites (fractional):
Pm1 0.000 0.000 0.000
Dy1 0.000 0.500 0.250
Dy2 0.113 0.786 0.341
Ho1 0.069 0.664 0.000

---

# 2
For NpCoS3, a PBE-relaxed structure gives the calculated powder X-ray diffraction pattern in this record (Cu Kα X-rays).

The 10 most intense peaks (2θ from 10° to 90°), low angle first:
| two_theta | d/Å | Rel. int. | hkl |
| --- | --- | --- | --- |
| 24.6 | 3.614 | 83 | 1 0 3 |
| 25.0 | 3.556 | 100 | 2 0 1 |
| 25.6 | 3.478 | 76 | 0 1 1 |
| 28.3 | 3.149 | 43 | 1 1 1 |
| 31.0 | 2.883 | 47 | 1 1 2 |
| 31.2 | 2.863 | 44 | 1 0 4 |
| 35.1 | 2.559 | 66 | 1 1 3 |
| 37.6 | 2.392 | 98 | 2 1 2 |
| 44.2 | 2.048 | 38 | 0 1 5 |
| 56.9 | 1.618 | 45 | 2 1 6 |

Atomic structure:
Unit cell a=7.423 b=3.623 c=12.413 alpha=90.00 beta=90.00 gamma=90.00
Space group Pnma (No. 62)
Symmetry-distinct sites (fractional):
Np1 0.114 0.250 0.173
Co1 0.170 0.750 0.449
S1 0.003 0.750 0.602
S2 0.156 0.750 0.002
S3 0.175 0.250 0.791

---

# 3
For HfMgAg2O, a PBE-relaxed structure gives the calculated powder X-ray diffraction pattern in this record (Cu Kα X-rays).

The 10 most intense peaks (2θ from 10° to 90°), low angle first:
| two_theta | d/Å | Rel. int. | hkl |
| --- | --- | --- | --- |
| 17.9 | 4.958 | 41 | 1 0 0 |
| 28.9 | 3.088 | 16 | 1 0 1 |
| 34.2 | 2.621 | 100 | 1 1 1 |
| 36.2 | 2.479 | 50 | 2 0 0 |
| 40.7 | 2.217 | 10 | 2 1 0 |
| 46.0 | 1.974 | 13 | 0 0 2 |
| 52.2 | 1.753 | 17 | 2 2 0 |
| 59.9 | 1.544 | 22 | 2 0 2 |
| 63.9 | 1.457 | 32 | 3 1 1 |
| 72.1 | 1.311 | 13 | 2 2 2 |

Atomic structure:
Unit cell a=4.958 b=4.958 c=3.948 alpha=90.00 beta=90.00 gamma=90.00
Space group P4/mmm (No. 123)
Symmetry-distinct sites (fractional):
Hf1 0.000 0.000 0.000
Mg1 0.500 0.500 0.000
Ag1 0.000 0.500 0.500
O1 0.000 0.000 0.500

---

# 4
For PmSnSb3, a PBE-relaxed structure gives the calculated powder X-ray diffraction pattern in this record (Cu Kα X-rays).

The 10 most intense peaks (2θ from 10° to 90°), low angle first:
| two_theta | d/Å | Rel. int. | hkl |
| --- | --- | --- | --- |
| 30.4 | 2.942 | 68 | 2 0 2 |
| 30.9 | 2.891 | 100 | 5 0 0 |
| 31.5 | 2.844 | 94 | 2 2 0 |
| 31.9 | 2.804 | 40 | 1 1 2 |
| 33.5 | 2.677 | 69 | 3 0 2 |
| 33.7 | 2.657 | 61 | 2 1 2 |
| 34.5 | 2.603 | 96 | 3 2 0 |
| 36.6 | 2.457 | 42 | 3 1 2 |
| 40.4 | 2.231 | 56 | 0 2 2 |
| 68.5 | 1.369 | 40 | 3 2 4 |

Atomic structure:
Unit cell a=14.453 b=6.188 c=6.441 alpha=90.00 beta=90.00 gamma=90.00
Space group Pbcm (No. 57)
Symmetry-distinct sites (fractional):
Pm1 0.170 0.001 0.250
Sn1 0.388 0.250 0.000
Sb1 0.001 0.250 0.000
Sb2 0.226 0.506 0.250
Sb3 0.399 0.715 0.750

---

# 5
For In5Sn3Br12, a PBE-relaxed structure gives the calculated powder X-ray diffraction pattern in this record (Cu Kα X-rays).

The 10 most intense peaks (2θ from 10° to 90°), low angle first:
| two_theta | d/Å | Rel. int. | hkl |
| --- | --- | --- | --- |
| 22.9 | 3.883 | 27 | 3 0 0 |
| 24.1 | 3.698 | 31 | 1 1 1 |
| 27.6 | 3.231 | 35 | 3 1 0 |
| 28.6 | 3.122 | 79 | 2 1 1 |
| 30.7 | 2.914 | 25 | 4 0 0 |
| 33.5 | 2.677 | 100 | 2 2 1 |
| 39.4 | 2.288 | 19 | 3 2 1 |
| 40.2 | 2.242 | 20 | 3 3 0 |
| 40.8 | 2.213 | 27 | 0 0 2 |
| 40.9 | 2.204 | 33 | 4 1 1 |

Atomic structure:
Unit cell a=13.4517 b=13.4517 c=4.4268 alpha=90.00 beta=90.00 gamma=120.00
Space group P-62m (No. 189)
Symmetry-distinct sites (fractional):
In1 0.0000 0.7053 0.0000
In2 0.3333 0.6667 0.0000
Sn1 0.0000 0.3226 0.5000
Br1 0.0000 0.1712 0.0000
Br2 0.0000 0.4723 0.0000
Br3 0.1944 0.7419 0.5000

---

# 6
For RbSb2Mo, a PBE-relaxed structure gives the calculated powder X-ray diffraction pattern in this record (Cu Kα X-rays).

The 10 most intense peaks (2θ from 10° to 90°), low angle first:
| two_theta | d/Å | Rel. int. | hkl |
| --- | --- | --- | --- |
| 14.2 | 6.225 | 96 | 1 0 1 |
| 21.8 | 4.071 | 100 | 1 1 2 |
| 26.1 | 3.412 | 23 | 2 0 0 |
| 28.7 | 3.112 | 63 | 2 0 2 |
| 29.9 | 2.992 | 25 | 2 1 1 |
| 34.3 | 2.614 | 22 | 2 1 3 |
| 35.4 | 2.538 | 21 | 2 0 4 |
| 43.6 | 2.076 | 27 | 3 1 2 |
| 44.5 | 2.036 | 76 | 2 2 4 |
| 53.7 | 1.706 | 16 | 4 0 0 |

Atomic structure:
Unit cell a=6.824 b=6.824 c=15.187 alpha=90.00 beta=90.00 gamma=90.00
Space group I4_1/amd (No. 141, origin choice 2)
Symmetry-distinct sites (fractional):
Rb1 0.000 0.250 0.375
Sb1 0.000 0.000 0.000
Mo1 0.000 0.250 0.875

---

# 7
For Pm3BiH3, a PBE-relaxed structure gives the calculated powder X-ray diffraction pattern in this record (Cu Kα X-rays).

The 10 most intense peaks (2θ from 10° to 90°), low angle first:
| two_theta | d/Å | Rel. int. | hkl |
| --- | --- | --- | --- |
| 27.6 | 3.237 | 43 | 2 0 0 |
| 30.9 | 2.895 | 86 | 2 1 0 |
| 33.9 | 2.643 | 100 | 2 1 1 |
| 50.9 | 1.796 | 22 | 3 2 0 |
| 52.9 | 1.730 | 57 | 3 2 1 |
| 56.9 | 1.618 | 19 | 4 0 0 |
| 64.4 | 1.448 | 16 | 4 2 0 |
| 66.1 | 1.413 | 20 | 4 2 1 |
| 79.8 | 1.202 | 17 | 5 2 0 |
| 81.4 | 1.182 | 17 | 5 2 1 |

Atomic structure:
Unit cell a=6.474 b=6.474 c=6.474 alpha=90.00 beta=90.00 gamma=90.00
Space group Pm-3n (No. 223)
Symmetry-distinct sites (fractional):
Pm1 0.000 0.250 0.500
Bi1 0.000 0.000 0.000
H1 0.000 0.500 0.250

---

# 8
For Pm12Dy3Th, a PBE-relaxed structure gives the calculated powder X-ray diffraction pattern in this record (Cu Kα X-rays).

The 10 most intense peaks (2θ from 10° to 90°), low angle first:
| two_theta | d/Å | Rel. int. | hkl |
| --- | --- | --- | --- |
| 17.3 | 5.128 | 1 | 1 0 0 |
| 24.6 | 3.626 | 1 | 1 0 4 |
| 30.2 | 2.960 | 100 | 1 1 4 |
| 35.0 | 2.564 | 51 | 2 0 0 |
| 50.3 | 1.813 | 36 | 2 2 0 |
| 59.8 | 1.546 | 43 | 3 1 4 |
| 62.8 | 1.480 | 12 | 2 2 8 |
| 73.9 | 1.282 | 6 | 4 0 0 |
| 81.9 | 1.176 | 18 | 3 3 4 |
| 84.5 | 1.147 | 17 | 4 2 0 |

Atomic structure:
Unit cell a=5.129 b=5.129 c=20.496 alpha=90.00 beta=90.00 gamma=90.00
Space group P4/mmm (No. 123)
Symmetry-distinct sites (fractional):
Pm1 0.000 0.000 0.000
Pm2 0.000 0.000 0.248
Pm3 0.000 0.000 0.500
Pm4 0.000 0.500 0.125
Pm5 0.000 0.500 0.376
Dy1 0.500 0.500 0.000
Dy2 0.500 0.500 0.250
Th1 0.500 0.500 0.500

---

# 9
For NpCd5Hg4Sb, a PBE-relaxed structure gives the calculated powder X-ray diffraction pattern in this record (Cu Kα X-rays).

The 10 most intense peaks (2θ from 10° to 90°), low angle first:
| two_theta | d/Å | Rel. int. | hkl |
| --- | --- | --- | --- |
| 16.3 | 5.426 | 24 | 1 0 0 |
| 31.5 | 2.836 | 26 | 1 0 3 |
| 33.0 | 2.713 | 89 | 2 0 0 |
| 35.7 | 2.513 | 100 | 1 1 3 |
| 46.3 | 1.960 | 18 | 2 1 3 |
| 47.4 | 1.918 | 33 | 2 2 0 |
| 49.6 | 1.836 | 13 | 2 0 4 |
| 60.7 | 1.525 | 43 | 3 1 3 |
| 65.9 | 1.418 | 18 | 2 0 6 |
| 78.9 | 1.213 | 15 | 4 2 0 |

Atomic structure:
Unit cell a=5.426 b=5.426 c=9.979 alpha=90.00 beta=90.00 gamma=90.00
Space group P4/mmm (No. 123)
Symmetry-distinct sites (fractional):
Np1 0.000 0.000 0.000
Cd1 0.000 0.500 0.192
Cd2 0.500 0.500 0.500
Hg1 0.000 0.000 0.322
Hg2 0.000 0.500 0.500
Sb1 0.500 0.500 0.000

---

# 10
For SnSb4Au5, a PBE-relaxed structure gives the calculated powder X-ray diffraction pattern in this record (Cu Kα X-rays).

The 10 most intense peaks (2θ from 10° to 90°), low angle first:
| two_theta | d/Å | Rel. int. | hkl |
| --- | --- | --- | --- |
| 26.8 | 3.321 | 11 | 1 0 5 |
| 31.1 | 2.876 | 100 | 1 1 0 |
| 44.5 | 2.034 | 75 | 2 0 0 |
| 55.3 | 1.661 | 26 | 2 0 10 |
| 64.7 | 1.441 | 4 | 0 0 20 |
| 64.9 | 1.437 | 8 | 2 2 0 |
| 73.5 | 1.288 | 11 | 1 1 20 |
| 73.7 | 1.286 | 23 | 3 1 0 |
| 82.0 | 1.175 | 9 | 2 0 20 |
| 82.1 | 1.174 | 17 | 3 1 10 |

Atomic structure:
Unit cell a=4.064 b=4.064 c=28.811 alpha=90.00 beta=90.00 gamma=90.00
Space group I4/mmm (No. 139)
Symmetry-distinct sites (fractional):
Sn1 0.000 0.000 0.000
Sb1 0.000 0.000 0.201
Sb2 0.000 0.000 0.401
Au1 0.000 0.000 0.101
Au2 0.000 0.000 0.300
Au3 0.000 0.000 0.500

---

# 11
For Mg2H5Ir3, a PBE-relaxed structure gives the calculated powder X-ray diffraction pattern in this record (Cu Kα X-rays).

The 10 most intense peaks (2θ from 10° to 90°), low angle first:
| two_theta | d/Å | Rel. int. | hkl |
| --- | --- | --- | --- |
| 12.6 | 7.044 | 100 | 0 0 1 |
| 17.6 | 5.049 | 33 | 2 0 -1 |
| 25.3 | 3.522 | 30 | 0 0 2 |
| 32.4 | 2.763 | 38 | 1 1 0 |
| 37.8 | 2.383 | 35 | 1 1 -2 |
| 38.3 | 2.348 | 28 | 0 0 3 |
| 38.9 | 2.314 | 27 | 4 0 -3 |
| 41.0 | 2.199 | 41 | 3 1 -1 |
| 44.4 | 2.041 | 22 | 3 1 0 |
| 46.2 | 1.964 | 19 | 1 1 -3 |

Atomic structure:
Unit cell a=10.136 b=2.919 c=8.336 alpha=90.00 beta=122.33 gamma=90.00
Space group Cm (No. 8)
Symmetry-distinct sites (fractional):
Mg1 0.000 0.000 0.000
Mg2 0.033 0.000 0.591
H1 0.042 0.500 0.809
H2 0.223 0.500 0.605
H3 0.248 0.500 0.157
H4 0.307 0.000 0.846
H5 0.464 0.500 0.225
Ir1 0.079 0.500 0.331
Ir2 0.295 0.000 0.302
Ir3 0.346 0.000 0.676

---

# 12
For LiAl8Rh2, a PBE-relaxed structure gives the calculated powder X-ray diffraction pattern in this record (Cu Kα X-rays).

The 10 most intense peaks (2θ from 10° to 90°), low angle first:
| two_theta | d/Å | Rel. int. | hkl |
| --- | --- | --- | --- |
| 12.1 | 7.307 | 62 | 0 0 1 |
| 18.3 | 4.857 | 93 | 0 1 -1 |
| 20.2 | 4.392 | 76 | 1 0 -1 |
| 25.1 | 3.548 | 66 | 0 1 1 |
| 26.8 | 3.325 | 52 | 1 1 -1 |
| 36.9 | 2.436 | 49 | 0 0 3 |
| 39.1 | 2.303 | 48 | 2 0 -1 |
| 41.8 | 2.163 | 52 | 1 2 -1 |
| 43.3 | 2.090 | 100 | 1 -2 2 |
| 46.1 | 1.971 | 59 | 1 1 2 |

Atomic structure:
Unit cell a=4.615 b=5.161 c=8.022 alpha=107.41 beta=105.30 gamma=93.79
Space group P1 (No. 1)
Symmetry-distinct sites (fractional):
Li1 0.000 0.000 0.000
Al1 0.302 0.571 0.367
Al2 0.316 0.077 0.384
Al3 0.408 0.695 0.000
Al4 0.469 0.042 0.792
Al5 0.678 0.250 0.208
Al6 0.891 0.494 0.999
Al7 0.934 0.202 0.630
Al8 0.934 0.694 0.617
Rh1 0.480 0.485 0.688
Rh2 0.792 0.797 0.311